Entry 1:
Computed powder X-ray diffraction pattern of EuV4SnO12 for a wavelength of 1.5418 Å, from the PBE+U geometry in Alexandria.
Lines closer than 0.1° are merged.

Crystal structure
```
data_EuV4SnO12
_chemical_formula_sum 'Eu1 V4 Sn1 O12'
_symmetry_space_group_name_H-M 'P 1'
_symmetry_Int_Tables_number 1
_cell_length_a 5.320
_cell_length_b 5.320
_cell_length_c 7.616
_cell_angle_alpha 90.00
_cell_angle_beta 90.00
_cell_angle_gamma 90.23
loop_
_symmetry_equiv_pos_as_xyz
'x,y,z'
loop_
_atom_site_label
_atom_site_type_symbol
_atom_site_fract_x
_atom_site_fract_y
_atom_site_fract_z
Eu1 Eu 0.000 0.000 0.000
V1 V 0.000 0.500 0.250
V2 V 0.000 0.500 0.750
V3 V 0.500 0.000 0.250
V4 V 0.500 0.000 0.750
Sn1 Sn 0.500 0.500 0.500
O1 O 0.000 0.500 0.000
O2 O 0.000 0.500 0.500
O3 O 0.219 0.781 0.247
O4 O 0.219 0.781 0.753
O5 O 0.279 0.279 0.249
O6 O 0.279 0.279 0.751
O7 O 0.500 0.000 0.000
O8 O 0.500 0.000 0.500
O9 O 0.721 0.721 0.249
O10 O 0.721 0.721 0.751
O11 O 0.781 0.219 0.247
O12 O 0.781 0.219 0.753
```

Main lines, sorted by position (15° ≤ 2θ ≤ 90°):
d [Å]  Position (°2θ)  Rel. int.
4.361  20.4  100.0
2.676  33.5  63.4
2.660  33.7  33.5
2.291  39.3  18.9
2.274  39.6  18.4
2.268  39.8  18.5
1.904  47.8  15.0
1.736  52.7  16.4

---

Entry 2:
Computed powder X-ray diffraction pattern of EuZnSnWO6 for a wavelength of 1.5418 Å, from the PBE+U geometry in Alexandria.
Lines closer than 0.1° are merged.

Crystal structure
```
data_EuZnSnWO6
_chemical_formula_sum 'Eu1 Zn1 Sn1 W1 O6'
_symmetry_space_group_name_H-M 'P 1'
_symmetry_Int_Tables_number 1
_cell_length_a 5.697
_cell_length_b 5.697
_cell_length_c 5.697
_cell_angle_alpha 60.00
_cell_angle_beta 60.00
_cell_angle_gamma 60.00
loop_
_symmetry_equiv_pos_as_xyz
'x,y,z'
loop_
_atom_site_label
_atom_site_type_symbol
_atom_site_fract_x
_atom_site_fract_y
_atom_site_fract_z
Eu1 Eu 0.000 0.000 0.000
Zn1 Zn 0.250 0.250 0.250
Sn1 Sn 0.500 0.500 0.500
W1 W 0.750 0.750 0.750
O1 O 0.508 0.508 0.992
O2 O 0.508 0.992 0.508
O3 O 0.508 0.992 0.992
O4 O 0.992 0.508 0.508
O5 O 0.992 0.508 0.992
O6 O 0.992 0.992 0.508
```

Main lines, sorted by position (15° ≤ 2θ ≤ 90°):
d [Å]  Position (°2θ)  Rel. int.
4.652  19.1  12.9
2.849  31.4  100.0
2.429  37.0  6.7
2.014  45.0  29.3
1.645  55.9  40.4
1.424  65.5  18.2
1.274  74.5  17.8
1.163  83.0  6.2